CsCrH8N2O8: calculated powder X-ray diffraction pattern (Cu Kα (weighted mean of Kα1 and Kα2)), based on a PBE+U-relaxed structure.
Lines closer than 0.1° are merged.

Largest 12 diffraction maxima, sorted by position, 2θ from 5° to 70°:
| 2θ (°) | I_rel | (hkl) |
| --- | --- | --- |
| 17.60 | 100 | 1 1 0 |
| 20.87 | 35 | 0 0 2 |
| 24.99 | 33 | 2 0 0 |
| 27.43 | 98 | 1 1 2 |
| 29.94 | 38 | 2 1 1 |
| 32.78 | 13 | 2 0 2 |
| 35.64 | 32 | 2 2 0 |
| 39.39 | 19 | 3 0 1 |
| 41.66 | 27 | 2 2 2 |
| 45.55 | 42 | 3 1 2 |
| 56.61 | 15 | 2 2 4 |
| 68.72 | 16 | 4 0 4 |

Atomic structure:
Unit cell a=7.125 b=7.125 c=8.514 alpha=90.00 beta=90.00 gamma=90.00
Space group I-42m (No. 121)
Symmetry-distinct sites (fractional):
Cs (0.000, 0.000, 0.000) (multiplicity 2)
Cr (0.000, 0.000, 0.500) (multiplicity 2)
H (0.006, 0.380, 0.682) (multiplicity 16)
N (0.000, 0.500, 0.250) (multiplicity 4)
O (0.134, 0.134, 0.340) (multiplicity 8)
O (0.195, 0.195, 0.495) (multiplicity 8)

CoCuP2O7: calculated powder X-ray diffraction pattern (Cu Kα (weighted mean of Kα1 and Kα2)), based on a PBE+U-relaxed structure.
Lines closer than 0.1° are merged.

Largest 12 diffraction maxima, sorted by position, 2θ from 5° to 70°:
| 2θ (°) | I_rel | (hkl) |
| --- | --- | --- |
| 20.27 | 16 | 1 0 0 |
| 28.84 | 97 | -1 1 1 |
| 29.61 | 100 | 1 -1 1 |
| 29.81 | 48 | 1 1 0 |
| 34.95 | 14 | 0 0 2 |
| 35.09 | 24 | 0 1 -2 |
| 35.20 | 13 | 0 2 -1 |
| 41.97 | 13 | -1 2 1 |
| 43.04 | 15 | 1 -1 2 |
| 43.13 | 16 | 1 2 -1 |
| 47.79 | 22 | 2 0 -2 |
| 58.66 | 15 | 2 -1 2 |

Atomic structure:
Unit cell a=4.594 b=5.373 c=5.390 alpha=101.32 beta=101.00 gamma=101.03
Space group P1 (No. 1)
Symmetry-distinct sites (fractional):
Co (0.000, 0.000, 0.000) (multiplicity 1)
Cu (0.998, 0.372, 0.616) (multiplicity 1)
P (0.412, 0.878, 0.515) (multiplicity 1)
P (0.596, 0.470, 0.103) (multiplicity 1)
O (0.223, 0.741, 0.678) (multiplicity 1)
O (0.237, 0.027, 0.353) (multiplicity 1)
O (0.284, 0.305, 0.926) (multiplicity 1)
O (0.510, 0.651, 0.336) (multiplicity 1)
O (0.719, 0.061, 0.683) (multiplicity 1)
O (0.770, 0.632, 0.954) (multiplicity 1)
O (0.786, 0.304, 0.238) (multiplicity 1)